# 1
The following is a computed PXRD pattern of NdU2RuC4. It was derived from a cell relaxed with PBE, using Cu Kα.
No peak broadening, texture or thermal motion is included.

Structural model:
```
data_NdU2RuC4
_space_group_name_H-M_alt 'C m c m'
_space_group_IT_number 63
_space_group_name_Hall '-C 2c 2'
_cell_length_a 3.574
_cell_length_b 11.638
_cell_length_c 11.763
_cell_angle_alpha 90.00
_cell_angle_beta 90.00
_cell_angle_gamma 90.00
loop_
_atom_site_label
_atom_site_type_symbol
_atom_site_fract_x
_atom_site_fract_y
_atom_site_fract_z
Nd1 Nd 0.000 0.104 0.250
U1 U 0.000 0.371 0.048
Ru1 Ru 0.000 0.158 0.750
C1 C 0.000 0.000 0.000
C2 C 0.000 0.256 0.611
C3 C 0.000 0.435 0.250
```

Peak list (6 most intense, 10 to 90 degrees two-theta, sorted by position)
2θ (°)	Rel. int.	h k l
27.43	59	0 2 3
30.25	100	1 1 2
30.40	25	0 0 4
30.73	55	0 4 0
37.48	72	1 3 2
41.39	27	0 2 5

***

# 2
The following is a computed PXRD pattern of Dy2Y7Tm4. It was derived from a cell relaxed with PBE, using Cu Kα.
No peak broadening, texture or thermal motion is included.

Structural model:
```
data_Dy2Y7Tm4
_space_group_name_H-M_alt 'P -1'
_space_group_IT_number 2
_cell_length_a 6.702
_cell_length_b 8.585
_cell_length_c 8.820
_cell_angle_alpha 117.13
_cell_angle_beta 100.26
_cell_angle_gamma 104.14
loop_
_space_group_symop_operation_xyz
'x,y,z'
'-x,-y,-z'
loop_
_atom_site_label
_atom_site_type_symbol
_atom_site_fract_x
_atom_site_fract_y
_atom_site_fract_z
Dy1 Dy 0.201 0.231 0.133
Y1 Y 0.151 0.972 0.687
Y2 Y 0.255 0.509 0.572
Y3 Y 0.416 0.142 0.458
Y4 Y 0.500 0.500 0.000
Tm1 Tm 0.079 0.650 0.223
Tm2 Tm 0.323 0.829 0.995
```

Peak list (6 most intense, 10 to 90 degrees two-theta, sorted by position)
2θ (°)	Rel. int.	h k l
30.36	40	-1 2 1
31.52	63	1 1 -3
31.73	60	2 -2 1
32.21	100	2 1 -1
32.57	57	0 3 -2
34.29	27	-2 1 2

***

Copy entry 2 word for word.
The following is a computed PXRD pattern of Dy2Y7Tm4. It was derived from a cell relaxed with PBE, using Cu Kα.
No peak broadening, texture or thermal motion is included.

Structural model:
```
data_Dy2Y7Tm4
_space_group_name_H-M_alt 'P -1'
_space_group_IT_number 2
_cell_length_a 6.702
_cell_length_b 8.585
_cell_length_c 8.820
_cell_angle_alpha 117.13
_cell_angle_beta 100.26
_cell_angle_gamma 104.14
loop_
_space_group_symop_operation_xyz
'x,y,z'
'-x,-y,-z'
loop_
_atom_site_label
_atom_site_type_symbol
_atom_site_fract_x
_atom_site_fract_y
_atom_site_fract_z
Dy1 Dy 0.201 0.231 0.133
Y1 Y 0.151 0.972 0.687
Y2 Y 0.255 0.509 0.572
Y3 Y 0.416 0.142 0.458
Y4 Y 0.500 0.500 0.000
Tm1 Tm 0.079 0.650 0.223
Tm2 Tm 0.323 0.829 0.995
```

Peak list (6 most intense, 10 to 90 degrees two-theta, sorted by position)
2θ (°)	Rel. int.	h k l
30.36	40	-1 2 1
31.52	63	1 1 -3
31.73	60	2 -2 1
32.21	100	2 1 -1
32.57	57	0 3 -2
34.29	27	-2 1 2

***

Please write out number 2 again, unchanged.
The following is a computed PXRD pattern of Dy2Y7Tm4. It was derived from a cell relaxed with PBE, using Cu Kα.
No peak broadening, texture or thermal motion is included.

Structural model:
```
data_Dy2Y7Tm4
_space_group_name_H-M_alt 'P -1'
_space_group_IT_number 2
_cell_length_a 6.702
_cell_length_b 8.585
_cell_length_c 8.820
_cell_angle_alpha 117.13
_cell_angle_beta 100.26
_cell_angle_gamma 104.14
loop_
_space_group_symop_operation_xyz
'x,y,z'
'-x,-y,-z'
loop_
_atom_site_label
_atom_site_type_symbol
_atom_site_fract_x
_atom_site_fract_y
_atom_site_fract_z
Dy1 Dy 0.201 0.231 0.133
Y1 Y 0.151 0.972 0.687
Y2 Y 0.255 0.509 0.572
Y3 Y 0.416 0.142 0.458
Y4 Y 0.500 0.500 0.000
Tm1 Tm 0.079 0.650 0.223
Tm2 Tm 0.323 0.829 0.995
```

Peak list (6 most intense, 10 to 90 degrees two-theta, sorted by position)
2θ (°)	Rel. int.	h k l
30.36	40	-1 2 1
31.52	63	1 1 -3
31.73	60	2 -2 1
32.21	100	2 1 -1
32.57	57	0 3 -2
34.29	27	-2 1 2

***

Copy entry 1 word for word.
The following is a computed PXRD pattern of NdU2RuC4. It was derived from a cell relaxed with PBE, using Cu Kα.
No peak broadening, texture or thermal motion is included.

Structural model:
```
data_NdU2RuC4
_space_group_name_H-M_alt 'C m c m'
_space_group_IT_number 63
_space_group_name_Hall '-C 2c 2'
_cell_length_a 3.574
_cell_length_b 11.638
_cell_length_c 11.763
_cell_angle_alpha 90.00
_cell_angle_beta 90.00
_cell_angle_gamma 90.00
loop_
_atom_site_label
_atom_site_type_symbol
_atom_site_fract_x
_atom_site_fract_y
_atom_site_fract_z
Nd1 Nd 0.000 0.104 0.250
U1 U 0.000 0.371 0.048
Ru1 Ru 0.000 0.158 0.750
C1 C 0.000 0.000 0.000
C2 C 0.000 0.256 0.611
C3 C 0.000 0.435 0.250
```

Peak list (6 most intense, 10 to 90 degrees two-theta, sorted by position)
2θ (°)	Rel. int.	h k l
27.43	59	0 2 3
30.25	100	1 1 2
30.40	25	0 0 4
30.73	55	0 4 0
37.48	72	1 3 2
41.39	27	0 2 5